# 1
Pr4Sm5Dy: simulated XRD peak list (Cu Kα (weighted mean of Kα1 and Kα2)), based on a structure optimized by DFT (PBE).
Kinematic intensities with the Lorentz-polarization factor, no thermal factor.

Structural model:
a b c (Å): 3.597 8.950 11.355
angles (deg): 89.81 89.97 78.61
Space group P-1 (No. 2)
One atom of each set of equivalent atoms:
Pr 0.027 0.439 0.249 (multiplicity 2)
Pr 0.345 0.810 0.250 (multiplicity 2)
Sm 0.173 0.154 0.052 (multiplicity 2)
Sm 0.175 0.152 0.445 (multiplicity 2)
Sm 0.500 0.500 0.500 (multiplicity 1)
Dy 0.500 0.500 0.000 (multiplicity 1)

Top 12 peaks for 2θ = 5–70°, most intense first:
d (Å), 2θ/deg, I_rel, h k l
2.700, 33.2, 100, 1 -1 2
2.693, 33.3, 90, 1 2 -2
2.925, 30.6, 54, 0 3 0
3.365, 26.5, 42, 1 1 -1
2.838, 31.5, 38, 0 0 4
3.476, 25.6, 37, 0 1 -3
1.909, 47.6, 27, 1 1 5
2.870, 31.2, 24, 0 2 3
2.861, 31.3, 24, 0 2 -3
1.798, 50.8, 21, 2 1 0
1.520, 61.0, 18, 2 1 4
1.525, 60.7, 17, 1 -3 5

---

# 2
PrSm4Dy3: simulated XRD peak list (Cu Kα (weighted mean of Kα1 and Kα2)), based on a structure optimized by DFT (PBE).
Kinematic intensities with the Lorentz-polarization factor, no thermal factor.

Structural model:
a b c (Å): 11.564 7.336 6.336
angles (deg): 90.00 90.00 90.00
Space group Pmn2_1 (No. 31)
One atom of each set of equivalent atoms:
Pr 0.000 0.125 0.000 (multiplicity 2)
Sm 0.000 0.374 0.503 (multiplicity 2)
Sm 0.000 0.627 0.999 (multiplicity 2)
Sm 0.247 0.625 0.334 (multiplicity 4)
Dy 0.000 0.876 0.500 (multiplicity 2)
Dy 0.250 0.124 0.333 (multiplicity 4)

Top 12 peaks for 2θ = 5–70°, most intense first:
d (Å), 2θ/deg, I_rel, h k l
2.781, 32.2, 100, 2 2 1
2.891, 30.9, 25, 4 0 0
3.172, 28.1, 24, 0 2 1
1.547, 59.8, 23, 4 4 0
1.647, 55.8, 21, 6 2 1
2.137, 42.3, 16, 4 2 1
1.830, 49.8, 13, 0 2 3
1.531, 60.5, 11, 2 4 2
1.834, 49.7, 7, 0 4 0
1.528, 60.6, 5, 2 0 4
1.445, 64.5, 3, 8 0 0
1.391, 67.3, 3, 4 4 2

---

# 3
Pr6SmDy6: simulated XRD peak list (Cu Kα (weighted mean of Kα1 and Kα2)), based on a structure optimized by DFT (PBE).
Kinematic intensities with the Lorentz-polarization factor, no thermal factor.

Structural model:
a b c (Å): 6.665 11.318 6.667
angles (deg): 90.00 115.30 90.00
Space group P2/m (No. 10)
One atom of each set of equivalent atoms:
Pr 0.000 0.172 0.000 (multiplicity 2)
Pr 0.265 0.000 0.735 (multiplicity 2)
Pr 0.358 0.500 0.640 (multiplicity 2)
Sm 0.000 0.500 0.000 (multiplicity 1)
Dy 0.000 0.275 0.500 (multiplicity 2)
Dy 0.500 0.199 0.500 (multiplicity 2)
Dy 0.500 0.275 0.000 (multiplicity 2)

Top 12 peaks for 2θ = 5–70°, most intense first:
d (Å), 2θ/deg, I_rel, h k l
2.660, 33.7, 100, 2 2 0
3.015, 29.6, 93, 0 0 2
3.134, 28.5, 77, 1 3 -1
2.816, 31.8, 39, 2 0 -2
2.592, 34.6, 31, 1 3 1
2.830, 31.6, 30, 0 4 0
2.865, 31.2, 28, 2 2 -1
1.581, 58.4, 25, 1 5 -3
2.521, 35.6, 22, 2 2 -2
1.783, 51.2, 21, 2 0 2
1.550, 59.6, 19, 1 3 3
2.169, 41.6, 19, 1 1 -3

---

# 4
Pr5Sm2Dy2: simulated XRD peak list (Cu Kα (weighted mean of Kα1 and Kα2)), based on a structure optimized by DFT (PBE).
Kinematic intensities with the Lorentz-polarization factor, no thermal factor.

Structural model:
a b c (Å): 11.594 5.174 10.965
angles (deg): 90.00 108.58 90.00
Space group C2/m (No. 12)
One atom of each set of equivalent atoms:
Pr 0.000 0.000 0.000 (multiplicity 2)
Pr 0.166 0.500 0.888 (multiplicity 4)
Pr 0.167 0.500 0.555 (multiplicity 4)
Sm 0.001 0.000 0.668 (multiplicity 4)
Dy 0.167 0.500 0.223 (multiplicity 4)

Top 10 peaks for 2θ = 5–70°, most intense first:
d (Å), 2θ/deg, I_rel, h k l
2.987, 29.9, 100, 3 1 0
2.585, 34.7, 34, 2 0 3
1.560, 59.2, 22, 5 1 3
1.831, 49.8, 18, 6 0 0
1.828, 49.9, 18, 2 2 3
2.592, 34.6, 17, 4 0 -3
1.562, 59.1, 15, 7 1 -3
1.557, 59.3, 7, 1 1 6
1.495, 62.1, 6, 6 2 0
1.493, 62.2, 6, 2 2 -6

---

# 5
Pr3Sm5Dy3: simulated XRD peak list (Cu Kα (weighted mean of Kα1 and Kα2)), based on a structure optimized by DFT (PBE).
Kinematic intensities with the Lorentz-polarization factor, no thermal factor.

Structural model:
a b c (Å): 9.7672 9.7672 5.4505
angles (deg): 90.00 90.00 120.00
Space group P-62m (No. 189)
One atom of each set of equivalent atoms:
Pr 0.0000 0.6398 0.0000 (multiplicity 3)
Sm 0.0000 0.2661 0.0000 (multiplicity 3)
Sm 0.3333 0.6667 0.0000 (multiplicity 2)
Dy 0.0000 0.4683 0.5000 (multiplicity 3)

Top 12 peaks for 2θ = 5–70°, most intense first:
d (Å), 2θ/deg, I_rel, h k l
2.504, 35.9, 100, 3 0 1
3.341, 26.7, 88, 2 0 1
2.758, 32.5, 60, 2 1 1
2.725, 32.9, 54, 0 0 2
5.450, 16.3, 53, 0 0 1
2.820, 31.7, 44, 3 0 0
8.459, 10.5, 43, 1 0 0
3.197, 27.9, 40, 2 1 0
1.960, 46.3, 31, 3 0 2
1.527, 60.6, 30, 3 0 3
1.580, 58.4, 25, 3 2 2
1.534, 60.3, 24, 4 2 1

---

# 6
Pr4Sm5Dy2: simulated XRD peak list (Cu Kα (weighted mean of Kα1 and Kα2)), based on a structure optimized by DFT (PBE).
Kinematic intensities with the Lorentz-polarization factor, no thermal factor.

Structural model:
a b c (Å): 3.542 9.459 23.297
angles (deg): 90.00 90.00 90.00
Space group Immm (No. 71)
One atom of each set of equivalent atoms:
Pr 0.000 0.000 0.096 (multiplicity 4)
Pr 0.000 0.294 0.500 (multiplicity 4)
Sm 0.000 0.203 0.350 (multiplicity 8)
Sm 0.000 0.500 0.000 (multiplicity 2)
Dy 0.000 0.000 0.230 (multiplicity 4)

Top 12 peaks for 2θ = 5–70°, most intense first:
d (Å), 2θ/deg, I_rel, h k l
2.814, 31.8, 100, 1 2 1
3.001, 29.8, 61, 0 2 6
2.921, 30.6, 58, 0 3 3
2.425, 37.1, 47, 1 0 7
1.514, 61.2, 45, 1 2 13
3.190, 28.0, 36, 1 1 2
3.139, 28.4, 27, 0 1 7
2.014, 45.0, 27, 1 3 6
2.522, 35.6, 26, 1 1 6
3.317, 26.9, 25, 1 1 0
2.365, 38.1, 20, 0 4 0
2.912, 30.7, 19, 0 0 8

---

# 7
Pr3SmDy7: simulated XRD peak list (Cu Kα (weighted mean of Kα1 and Kα2)), based on a structure optimized by DFT (PBE).
Kinematic intensities with the Lorentz-polarization factor, no thermal factor.

Structural model:
a b c (Å): 5.566 7.012 10.092
angles (deg): 70.05 89.98 89.95
Space group P-1 (No. 2)
One atom of each set of equivalent atoms:
Pr 0.000 0.000 0.000 (multiplicity 1)
Pr 0.499 0.282 0.501 (multiplicity 2)
Sm 0.000 0.500 0.000 (multiplicity 1)
Dy 0.000 0.000 0.500 (multiplicity 1)
Dy 0.000 0.418 0.670 (multiplicity 2)
Dy 0.500 0.145 0.211 (multiplicity 2)
Dy 0.500 0.322 0.862 (multiplicity 2)

Top 12 peaks for 2θ = 5–70°, most intense first:
d (Å), 2θ/deg, I_rel, h k l
2.834, 31.6, 100, 1 2 0
2.750, 32.6, 79, 1 0 3
2.783, 32.2, 79, 2 0 0
2.827, 31.7, 75, 1 2 2
2.856, 31.3, 42, -1 1 3
2.868, 31.2, 39, 1 -1 2
1.601, 57.6, 35, 3 0 3
1.483, 62.6, 32, 2 4 2
2.811, 31.8, 23, 0 2 3
1.616, 57.0, 22, 3 2 0
1.753, 52.2, 18, 0 4 2
1.984, 45.7, 18, 2 2 -1

---

# 8
Pr5Sm2Dy: simulated XRD peak list (Cu Kα (weighted mean of Kα1 and Kα2)), based on a structure optimized by DFT (PBE).
Kinematic intensities with the Lorentz-polarization factor, no thermal factor.

Structural model:
a b c (Å): 7.331 14.689 5.198
angles (deg): 90.00 90.00 90.00
Space group Pbam (No. 55)
One atom of each set of equivalent atoms:
Pr 0.000 0.000 0.000 (multiplicity 2)
Pr 0.001 0.252 0.000 (multiplicity 4)
Pr 0.248 0.624 0.500 (multiplicity 4)
Sm 0.250 0.376 0.500 (multiplicity 4)
Dy 0.000 0.500 0.000 (multiplicity 2)

Top 7 peaks for 2θ = 5–70°, most intense first:
d (Å), 2θ/deg, I_rel, h k l
2.997, 29.8, 100, 2 0 1
2.596, 34.6, 51, 2 4 0
1.836, 49.7, 30, 2 4 2
1.566, 59.0, 29, 2 0 3
1.564, 59.1, 14, 4 4 1
1.499, 61.9, 12, 4 0 2
1.833, 49.8, 6, 4 0 0

---

# 9
Pr5Sm12Dy2: simulated XRD peak list (Cu Kα (weighted mean of Kα1 and Kα2)), based on a structure optimized by DFT (PBE).
Kinematic intensities with the Lorentz-polarization factor, no thermal factor.

Structural model:
a b c (Å): 25.897 10.262 5.163
angles (deg): 90.00 101.44 90.00
Space group C2/m (No. 12)
One atom of each set of equivalent atoms:
Pr 0.000 0.000 0.000 (multiplicity 2)
Pr 0.198 0.000 0.199 (multiplicity 4)
Pr 0.199 0.500 0.199 (multiplicity 4)
Sm 0.097 0.254 0.097 (multiplicity 8)
Sm 0.098 0.500 0.599 (multiplicity 4)
Sm 0.099 0.000 0.599 (multiplicity 4)
Sm 0.197 0.252 0.697 (multiplicity 8)
Dy 0.000 0.240 0.500 (multiplicity 4)

Top 12 peaks for 2θ = 5–70°, most intense first:
d (Å), 2θ/deg, I_rel, h k l
2.958, 30.2, 100, 4 2 1
2.581, 34.8, 17, 2 0 -2
2.566, 35.0, 17, 0 4 0
2.538, 35.4, 16, 10 0 0
1.546, 59.8, 14, 4 6 1
1.534, 60.3, 14, 14 2 1
1.820, 50.1, 12, 2 4 -2
1.479, 62.8, 12, 8 4 2
1.804, 50.6, 12, 10 4 0
1.554, 59.5, 7, 2 2 3
1.553, 59.5, 7, 8 2 -3
1.811, 50.4, 6, 8 0 2

---

# 10
Pr8SmDy4: simulated XRD peak list (Cu Kα (weighted mean of Kα1 and Kα2)), based on a structure optimized by DFT (PBE).
Kinematic intensities with the Lorentz-polarization factor, no thermal factor.

Structural model:
a b c (Å): 6.726 7.015 11.160
angles (deg): 81.18 81.69 61.75
Space group P1 (No. 1)
One atom of each set of equivalent atoms:
Pr 0.000 0.000 0.000 (multiplicity 1)
Pr 0.006 0.349 0.736 (multiplicity 1)
Pr 0.017 0.839 0.637 (multiplicity 1)
Pr 0.332 0.653 0.266 (multiplicity 1)
Pr 0.447 0.110 0.154 (multiplicity 1)
Pr 0.501 0.820 0.655 (multiplicity 1)
Pr 0.542 0.345 0.591 (multiplicity 1)
Pr 0.898 0.528 0.073 (multiplicity 1)
Sm 0.260 0.158 0.434 (multiplicity 1)
Dy 0.454 0.500 0.913 (multiplicity 1)
Dy 0.563 0.981 0.877 (multiplicity 1)
Dy 0.807 0.663 0.385 (multiplicity 1)
Dy 0.826 0.156 0.315 (multiplicity 1)

Top 12 peaks for 2θ = 5–70°, most intense first:
d (Å), 2θ/deg, I_rel, h k l
2.886, 31.0, 100, 0 2 -1
2.912, 30.7, 34, 2 0 1
2.901, 30.8, 32, 2 2 0
2.975, 30.0, 27, -1 1 2
2.799, 32.0, 26, 0 2 2
2.742, 32.7, 22, 1 2 3
3.004, 29.7, 21, 1 0 -3
2.574, 34.9, 17, 1 0 4
3.372, 26.4, 17, 1 1 3
2.933, 30.5, 16, 2 2 1
2.953, 30.3, 15, 2 0 0
3.160, 28.2, 15, 1 2 2

---

# 11
Pr3Sm4Dy5: simulated XRD peak list (Cu Kα (weighted mean of Kα1 and Kα2)), based on a structure optimized by DFT (PBE).
Kinematic intensities with the Lorentz-polarization factor, no thermal factor.

Structural model:
a b c (Å): 6.256 7.224 8.855
angles (deg): 89.99 89.88 89.85
Space group P-1 (No. 2)
One atom of each set of equivalent atoms:
Pr 0.000 0.000 0.000 (multiplicity 1)
Pr 0.168 0.250 0.333 (multiplicity 2)
Sm 0.169 0.750 0.333 (multiplicity 2)
Sm 0.333 0.500 0.669 (multiplicity 2)
Dy 0.000 0.500 0.000 (multiplicity 1)
Dy 0.335 0.000 0.669 (multiplicity 2)
Dy 0.499 0.750 0.000 (multiplicity 2)

Top 9 peaks for 2θ = 5–70°, most intense first:
d (Å), 2θ/deg, I_rel, h k l
2.950, 30.3, 100, 1 2 1
2.555, 35.1, 51, 2 0 2
1.808, 50.5, 24, 3 2 0
1.540, 60.1, 22, 4 0 1
1.542, 60.0, 14, 3 2 3
1.805, 50.6, 12, 3 -2 0
1.538, 60.2, 7, -2 4 1
1.476, 63.0, 6, 2 4 2
1.474, 63.1, 6, 4 0 -2

---

# 12
Pr5Sm2Dy12: simulated XRD peak list (Cu Kα (weighted mean of Kα1 and Kα2)), based on a structure optimized by DFT (PBE).
Kinematic intensities with the Lorentz-polarization factor, no thermal factor.

Structural model:
a b c (Å): 17.941 9.160 8.734
angles (deg): 90.00 116.21 90.00
Space group C2/m (No. 12)
One atom of each set of equivalent atoms:
Pr 0.000 0.000 0.000 (multiplicity 2)
Pr 0.217 0.500 0.729 (multiplicity 4)
Pr 0.236 0.000 0.797 (multiplicity 4)
Sm 0.000 0.328 0.500 (multiplicity 4)
Dy 0.046 0.000 0.684 (multiplicity 4)
Dy 0.066 0.500 0.221 (multiplicity 4)
Dy 0.124 0.282 0.952 (multiplicity 8)
Dy 0.146 0.183 0.410 (multiplicity 8)

Top 12 peaks for 2θ = 5–70°, most intense first:
d (Å), 2θ/deg, I_rel, h k l
2.976, 30.0, 100, 0 2 2
2.886, 31.0, 66, 6 0 -2
3.023, 29.5, 64, 4 2 0
2.699, 33.2, 61, 3 3 -1
2.657, 33.7, 38, 1 1 -3
3.159, 28.3, 34, 2 2 -2
3.199, 27.9, 34, 4 2 -1
2.772, 32.3, 34, 3 1 -3
2.502, 35.9, 31, 5 1 1
3.451, 25.8, 28, 3 1 1
2.837, 31.5, 23, 4 0 -3
3.035, 29.4, 21, 2 0 2